[1]
This entry pairs a crystal structure of ZnSnO3 with its simulated XRD peak list. Radiation: CuKα. Structure: the PBE geometry in the Materials Project.

Principal peaks in the range 2θ = 5–70°, sorted by position:
2theta	I_rel
22.1	17.5
31.4	100.0
45.0	34.3
50.7	7.7
55.9	40.7
65.5	20.9

Atomic structure:
```
ZnSnO3
1.0
4.029 0.000 0.000
0.000 4.029 0.000
0.000 0.000 4.029
Zn Sn O
1 1 3
direct
0.000 0.000 0.000
0.500 0.500 0.500
0.000 0.500 0.500
0.500 0.000 0.500
0.500 0.500 0.000
```

[2]
This entry pairs a crystal structure of ZnSnO3 with its simulated XRD peak list. Radiation: CuKα. Structure: the PBE geometry in the Materials Project.

Principal peaks in the range 2θ = 5–70°, sorted by position:
2theta	I_rel
18.6	15.2
22.8	23.7
31.6	100.0
33.3	94.3
38.4	21.6
46.5	40.6
51.2	41.1
58.4	38.8
59.5	32.5
68.7	19.2

Atomic structure:
```
ZnSnO3
1.0
2.690 1.553 4.765
-2.690 1.553 4.765
0.000 -3.106 4.765
Zn Sn O
2 2 6
direct
0.135 0.135 0.135
0.865 0.865 0.865
0.350 0.350 0.350
0.650 0.650 0.650
0.054 0.740 0.450
0.260 0.550 0.946
0.450 0.054 0.740
0.550 0.946 0.260
0.740 0.450 0.054
0.946 0.260 0.550
```

[3]
This entry pairs a crystal structure of ZnSnO2 with its simulated XRD peak list. Radiation: CuKα. Structure: the PBE geometry in the Materials Project.

Principal peaks in the range 2θ = 5–70°, sorted by position:
2theta	I_rel
21.3	29.8
21.9	26.5
29.3	100.0
29.7	38.1
30.1	25.6
30.9	54.6
33.1	70.2
35.9	30.6
36.8	35.1
37.0	33.8

Atomic structure:
```
ZnSnO2
1.0
3.374 0.000 0.000
0.718 8.351 0.000
1.474 0.259 9.152
Zn Sn O
4 4 8
direct
0.115 0.028 0.289
0.292 0.238 0.907
0.708 0.762 0.093
0.885 0.972 0.711
0.351 0.287 0.550
0.358 0.627 0.836
0.642 0.373 0.164
0.649 0.713 0.450
0.082 0.835 0.538
0.209 0.200 0.130
0.243 0.633 0.069
0.349 0.105 0.733
0.651 0.895 0.267
0.757 0.367 0.931
0.791 0.800 0.870
0.918 0.165 0.462
```